Diffraction record for MgV2S4Br4N6. The powder diffraction line list is simulated, not measured: it uses the GGA-PBE geometry in the Materials Project and a wavelength of 1.5418 Å.
Intensities are scaled so that the largest is 100.

Most intense lines, 2θ = 10–90°, by angle:
hkl 1 0 -1, 18.1 deg, I = 67; hkl 1 1 2, 23.7 deg, I = 49; hkl 0 1 -2, 23.9 deg, I = 43; hkl 0 2 0, 24.9 deg, I = 65; hkl 1 1 -2, 27.5 deg, I = 43; hkl 1 -1 2, 28.9 deg, I = 56; hkl 2 0 0, 29.8 deg, I = 53; hkl 1 2 2, 30.0 deg, I = 100; hkl 2 -1 0, 34.7 deg, I = 51; hkl 1 1 -3, 35.7 deg, I = 60

Structural model:
Cell lengths 6.1705, 7.3715, 9.5093 Å; angles 82.05, 84.41, 77.48 degrees
Space group P-1 (No. 2)
One atom of each set of equivalent atoms:
Mg1 0.0000 0.0000 0.0000
V1 0.2107 0.4864 0.8955
S1 0.1851 0.2052 0.2232
S2 0.2240 0.7206 0.5979
Br1 0.1760 0.1859 0.7923
Br2 0.3668 0.7271 0.0170
N1 0.0293 0.1734 0.3656
N2 0.0692 0.3708 0.1066
N3 0.3142 0.5732 0.7252



Diffraction record for MgV2S4Br4N6. The powder diffraction line list is simulated, not measured: it uses the GGA-PBE geometry in the Materials Project and a wavelength of 1.5418 Å.
Intensities are scaled so that the largest is 100.

Most intense lines, 2θ = 10–90°, by angle:
hkl 0 0 1, 10.2 deg, I = 100; hkl 1 0 -1, 19.6 deg, I = 27; hkl 0 2 0, 24.4 deg, I = 18; hkl 0 1 -2, 24.8 deg, I = 18; hkl 1 1 -2, 28.9 deg, I = 23; hkl 1 2 2, 29.2 deg, I = 30; hkl 1 -1 2, 29.5 deg, I = 18; hkl 2 0 0, 30.8 deg, I = 24; hkl -1 1 2, 31.4 deg, I = 16; hkl 1 3 2, 38.4 deg, I = 18

Structural model:
Cell lengths 6.2088, 7.7231, 8.8468 Å; angles 82.17, 79.33, 71.18 degrees
Space group P-1 (No. 2)
One atom of each set of equivalent atoms:
Mg1 0.0000 0.0000 0.0000
V1 0.2728 0.5056 0.1142
S1 0.2737 0.2355 0.4097
S2 0.2853 0.7712 0.7693
Br1 0.1682 0.2817 0.9509
Br2 0.2360 0.8121 0.2158
N1 0.1716 0.3968 0.2896
N2 0.4214 0.6120 0.8861
N3 0.4497 0.8467 0.6323



Diffraction record for MgNbTlBr4O. The powder diffraction line list is simulated, not measured: it uses the GGA-PBE geometry in the Materials Project and a wavelength of 1.5418 Å.
Intensities are scaled so that the largest is 100.

Most intense lines, 2θ = 10–90°, by angle:
hkl 0 1 0, 12.7 deg, I = 59; hkl 1 0 -1, 25.4 deg, I = 37; hkl 1 1 -1, 26.7 deg, I = 35; hkl 0 1 -2, 28.4 deg, I = 57; hkl 0 2 2, 29.7 deg, I = 100; hkl 1 2 1, 30.1 deg, I = 26; hkl 1 1 2, 31.5 deg, I = 60; hkl 0 1 4, 44.3 deg, I = 21; hkl 2 1 0, 46.1 deg, I = 21; hkl 2 2 -2, 55.0 deg, I = 24

Structural model:
Cell lengths 3.9410, 7.4706, 8.1826 Å; angles 76.57, 89.99, 74.71 degrees
Space group P1 (No. 1)
One atom of each set of equivalent atoms:
Mg1 0.0000 0.0000 0.0000
Nb1 0.3170 0.3662 0.9061
Tl1 0.8225 0.3611 0.4251
Br1 0.1915 0.6204 0.0970
Br2 0.1994 0.6019 0.6098
Br3 0.4799 0.0398 0.7622
Br4 0.4798 0.0412 0.2165
O1 0.8579 0.2846 0.9364



Diffraction record for MgNbTlBr4O. The powder diffraction line list is simulated, not measured: it uses the GGA-PBE geometry in the Materials Project and a wavelength of 1.5418 Å.
Intensities are scaled so that the largest is 100.

Most intense lines, 2θ = 10–90°, by angle:
hkl 0 1 0, 12.2 deg, I = 100; hkl 1 0 -1, 25.0 deg, I = 55; hkl -1 1 1, 26.7 deg, I = 56; hkl 0 2 -2, 28.1 deg, I = 79; hkl 1 1 0, 28.9 deg, I = 58; hkl 1 -2 0, 29.1 deg, I = 58; hkl 0 1 2, 29.5 deg, I = 71; hkl 1 0 -2, 31.4 deg, I = 67; hkl 0 3 0, 37.3 deg, I = 50; hkl 2 -1 0, 45.4 deg, I = 42

Structural model:
Cell lengths 3.9947, 7.8511, 8.1194 Å; angles 107.59, 90.12, 104.33 degrees
Space group P1 (No. 1)
One atom of each set of equivalent atoms:
Mg1 0.0000 0.0000 0.0000
Nb1 0.2381 0.4713 0.6334
Tl1 0.7446 0.4883 0.2160
Br1 0.0813 0.1694 0.3248
Br2 0.1085 0.2273 0.8390
Br3 0.3636 0.7372 0.4830
Br4 0.3870 0.7693 0.9550
O1 0.7372 0.4700 0.6389



Diffraction record for MgNbTlBr4O. The powder diffraction line list is simulated, not measured: it uses the GGA-PBE geometry in the Materials Project and a wavelength of 1.5418 Å.
Intensities are scaled so that the largest is 100.

Most intense lines, 2θ = 10–90°, by angle:
hkl 0 0 1, 12.4 deg, I = 100; hkl 1 -1 0, 25.3 deg, I = 83; hkl -1 1 1, 27.1 deg, I = 53; hkl 0 2 -2, 29.0 deg, I = 90; hkl 1 0 -2, 29.3 deg, I = 75; hkl 1 1 -2, 29.4 deg, I = 38; hkl 0 2 1, 30.5 deg, I = 67; hkl 1 -2 0, 32.3 deg, I = 100; hkl 1 2 1, 42.0 deg, I = 55; hkl 2 0 -1, 45.7 deg, I = 40

Structural model:
Cell lengths 3.9682, 7.7554, 7.7626 Å; angles 107.21, 104.65, 90.02 degrees
Space group P1 (No. 1)
One atom of each set of equivalent atoms:
Mg1 0.0000 0.0000 0.0000
Nb1 0.3224 0.3970 0.6460
Tl1 0.7687 0.8355 0.5471
Br1 0.1786 0.0723 0.3621
Br2 0.1791 0.5378 0.3622
Br3 0.4607 0.2058 0.9269
Br4 0.4705 0.7400 0.9383
O1 0.8292 0.3989 0.6597



Diffraction record for MgNbTlBr4O. The powder diffraction line list is simulated, not measured: it uses the GGA-PBE geometry in the Materials Project and a wavelength of 1.5418 Å.
Intensities are scaled so that the largest is 100.

Most intense lines, 2θ = 10–90°, by angle:
hkl 0 1 0, 13.2 deg, I = 100; hkl 1 0 -1, 25.1 deg, I = 62; hkl -1 1 1, 26.2 deg, I = 51; hkl 0 1 2, 26.6 deg, I = 71; hkl 0 2 -2, 30.0 deg, I = 75; hkl 1 -2 0, 30.2 deg, I = 67; hkl 1 -1 2, 30.4 deg, I = 78; hkl 1 -2 1, 30.5 deg, I = 33; hkl 0 2 2, 37.0 deg, I = 30; hkl 0 3 0, 40.1 deg, I = 44

Structural model:
Cell lengths 3.9400, 7.1548, 8.8930 Å; angles 101.43, 90.09, 105.95 degrees
Space group P1 (No. 1)
One atom of each set of equivalent atoms:
Mg1 0.0000 0.0000 0.0000
Nb1 0.2242 0.4392 0.1038
Tl1 0.7254 0.4404 0.5534
Br1 0.0846 0.1635 0.2850
Br2 0.1046 0.2061 0.7962
Br3 0.3453 0.6862 0.3726
Br4 0.3758 0.7509 0.9320
O1 0.7185 0.4307 0.0824



Diffraction record for MgBr2O12. The powder diffraction line list is simulated, not measured: it uses the GGA-PBE geometry in the Materials Project and a wavelength of 1.5418 Å.
Intensities are scaled so that the largest is 100.

Most intense lines, 2θ = 10–90°, by angle:
hkl 1 1 1, 15.7 deg, I = 13; hkl 2 0 0, 18.2 deg, I = 83; hkl 2 2 0, 25.8 deg, I = 100; hkl 2 2 2, 31.7 deg, I = 38; hkl 4 0 2, 41.3 deg, I = 20; hkl 4 2 2, 45.5 deg, I = 39; hkl 4 4 0, 53.0 deg, I = 17; hkl 4 4 2, 56.5 deg, I = 14; hkl 6 2 0, 59.9 deg, I = 17; hkl 6 2 4, 72.4 deg, I = 23

Structural model:
Cell lengths 9.7687, 9.7687, 9.7687 Å; angles 90.00, 90.00, 90.00 degrees
Space group Pa-3 (No. 205)
One atom of each set of equivalent atoms:
Mg1 0.0000 0.0000 0.0000
Br1 0.2393 0.7393 0.7607
O1 0.0407 0.5706 0.6926
O2 0.1233 0.1629 0.6805



Diffraction record for MgBr2O2. The powder diffraction line list is simulated, not measured: it uses the GGA-PBE geometry in the Materials Project and a wavelength of 1.5418 Å.
Intensities are scaled so that the largest is 100.

Most intense lines, 2θ = 10–90°, by angle:
hkl 1 1 0, 15.2 deg, I = 24; hkl 0 2 0, 20.2 deg, I = 77; hkl 2 0 0, 22.9 deg, I = 24; hkl 0 0 1, 23.4 deg, I = 19; hkl 2 2 0, 30.7 deg, I = 64; hkl 2 0 -1, 31.1 deg, I = 100; hkl 2 0 1, 34.8 deg, I = 38; hkl 2 2 -1, 37.3 deg, I = 24; hkl 2 2 1, 40.6 deg, I = 25; hkl 0 4 0, 41.1 deg, I = 23

Structural model:
Cell lengths 7.8160, 8.7896, 3.8207 Å; angles 90.00, 96.42, 90.00 degrees
Space group C2/m (No. 12)
One atom of each set of equivalent atoms:
Mg1 0.0000 0.0000 0.0000
Br1 0.2377 0.0000 0.5564
O1 0.0000 0.2282 0.0000



Diffraction record for MgTa2Te4Br10O. The powder diffraction line list is simulated, not measured: it uses the GGA-PBE geometry in the Materials Project and a wavelength of 1.5418 Å.
Intensities are scaled so that the largest is 100.

Most intense lines, 2θ = 10–90°, by angle:
hkl 0 1 1, 13.9 deg, I = 95; hkl 1 0 -1, 14.8 deg, I = 86; hkl 0 1 -2, 19.9 deg, I = 100; hkl 0 2 -2, 26.2 deg, I = 40; hkl -1 2 2, 27.8 deg, I = 59; hkl 2 -2 1, 29.2 deg, I = 36; hkl 2 1 1, 31.5 deg, I = 55; hkl -2 2 2, 32.9 deg, I = 37; hkl -1 1 4, 38.5 deg, I = 35; hkl 1 -3 3, 39.7 deg, I = 37

Structural model:
Cell lengths 7.4299, 9.0977, 10.0182 Å; angles 92.94, 92.89, 105.47 degrees
Space group P1 (No. 1)
One atom of each set of equivalent atoms:
Mg1 0.0000 0.0000 0.0000
Ta1 0.6094 0.4163 0.6350
Ta2 0.6317 0.1574 0.9225
Te1 0.0423 0.9855 0.3075
Te2 0.2161 0.6134 0.2609
Te3 0.3354 0.8859 0.4211
Te4 0.9163 0.7078 0.1453
Br1 0.2804 0.2361 0.5567
Br2 0.2955 0.9766 0.8689
Br3 0.4429 0.5500 0.7909
Br4 0.5216 0.3166 0.0896
Br5 0.5879 0.6016 0.4539
Br6 0.6608 0.9631 0.1167
Br7 0.7461 0.2609 0.4758
Br8 0.7724 0.9666 0.7802
Br9 0.9236 0.5784 0.7198
Br10 0.9827 0.2920 0.9972
O1 0.6220 0.2723 0.7785



Diffraction record for MgTa2Te4Br10O. The powder diffraction line list is simulated, not measured: it uses the GGA-PBE geometry in the Materials Project and a wavelength of 1.5418 Å.
Intensities are scaled so that the largest is 100.

Most intense lines, 2θ = 10–90°, by angle:
hkl 1 0 0, 11.2 deg, I = 36; hkl 1 -1 0, 12.9 deg, I = 54; hkl 1 0 -1, 13.8 deg, I = 100; hkl 0 1 1, 13.9 deg, I = 68; hkl 0 1 -2, 19.4 deg, I = 42; hkl 1 0 -2, 20.0 deg, I = 29; hkl 1 -1 2, 21.5 deg, I = 30; hkl 0 1 -3, 27.3 deg, I = 30; hkl -1 2 2, 27.5 deg, I = 68; hkl -2 2 2, 31.4 deg, I = 29

Structural model:
Cell lengths 8.2239, 8.9933, 10.3187 Å; angles 93.52, 92.30, 106.50 degrees
Space group P1 (No. 1)
One atom of each set of equivalent atoms:
Mg1 0.0000 0.0000 0.0000
Ta1 0.2204 0.5034 0.5162
Ta2 0.2816 0.2514 0.7901
Te1 0.5661 0.8134 0.0408
Te2 0.7625 0.1056 0.1505
Te3 0.8498 0.7213 0.1273
Te4 0.9096 0.9623 0.3360
Br1 0.0573 0.6309 0.6652
Br2 0.1532 0.3872 0.9647
Br3 0.1812 0.6705 0.3353
Br4 0.3185 0.0645 0.0022
Br5 0.3419 0.3394 0.3671
Br6 0.3716 0.0601 0.6507
Br7 0.5012 0.6789 0.5938
Br8 0.5748 0.4115 0.8557
Br9 0.9191 0.2970 0.4547
Br10 0.9639 0.0483 0.7611
O1 0.2399 0.3657 0.6596



Diffraction record for MgTa2Te4Br10O. The powder diffraction line list is simulated, not measured: it uses the GGA-PBE geometry in the Materials Project and a wavelength of 1.5418 Å.
Intensities are scaled so that the largest is 100.

Most intense lines, 2θ = 10–90°, by angle:
hkl 1 0 -1, 14.3 deg, I = 100; hkl 0 1 -1, 14.6 deg, I = 34; hkl 1 -1 0, 16.4 deg, I = 21; hkl -1 1 1, 17.5 deg, I = 17; hkl 0 1 2, 18.6 deg, I = 20; hkl 0 2 2, 23.9 deg, I = 34; hkl 2 -1 1, 28.9 deg, I = 19; hkl 2 -2 1, 35.5 deg, I = 23; hkl -1 1 4, 37.7 deg, I = 20; hkl 2 2 -3, 41.3 deg, I = 17

Structural model:
Cell lengths 7.9284, 9.2785, 10.1346 Å; angles 78.50, 89.28, 79.67 degrees
Space group P1 (No. 1)
One atom of each set of equivalent atoms:
Mg1 0.0000 0.0000 0.0000
Ta1 0.0454 0.6217 0.1144
Ta2 0.9594 0.3788 0.8708
Te1 0.3571 0.1115 0.3383
Te2 0.4517 0.8163 0.4786
Te3 0.5750 0.2016 0.5018
Te4 0.6704 0.9072 0.6405
Br1 0.0970 0.8399 0.2481
Br2 0.1305 0.4889 0.6866
Br3 0.2021 0.7760 0.9179
Br4 0.2305 0.1796 0.9749
Br5 0.3341 0.4728 0.1980
Br6 0.6794 0.5329 0.7748
Br7 0.7682 0.8192 0.0253
Br8 0.7870 0.2295 0.0608
Br9 0.8917 0.5057 0.3080
Br10 0.9207 0.1577 0.7399
O1 0.9993 0.5001 0.9937